Structure and theoretical powder diffraction line list of In2GaGe2Rh5 (DFT lattice parameters and positions (PBE); a wavelength of 1.5418 Å).
Intensities are scaled so that the largest is 100.

Peak list (6 most intense, 15 to 90 degrees two-theta, low angle first)
d = 2.705 Å, I = 15.9
d = 2.347 Å, I = 36.9
d = 2.294 Å, I = 100.0
d = 2.163 Å, I = 17.8
d = 2.122 Å, I = 30.9
d = 1.733 Å, I = 17.9

Cell and atoms:
```
In2GaGe2Rh5
1.0
9.6749 0.0000 0.0000
0.0000 9.6749 0.0000
0.0000 0.0000 3.4661
In Ga Ge Rh
4 2 4 10
Direct
0.1698 0.3302 0.0000
0.3302 0.8302 0.0000
0.6698 0.1698 0.0000
0.8302 0.6698 0.0000
0.0000 0.0000 0.0000
0.5000 0.5000 0.0000
0.1313 0.6313 0.0000
0.3687 0.1313 0.0000
0.6313 0.8687 0.0000
0.8687 0.3687 0.0000
0.0000 0.5000 0.5000
0.0843 0.8057 0.5000
0.1943 0.0843 0.5000
0.3057 0.5843 0.5000
0.4157 0.3057 0.5000
0.5000 0.0000 0.5000
0.5843 0.6943 0.5000
0.6943 0.4157 0.5000
0.8057 0.9157 0.5000
0.9157 0.1943 0.5000
```

---

Structure and theoretical powder diffraction line list of GaGe5Ir3 (DFT lattice parameters and positions (PBE); a wavelength of 1.5418 Å).
Intensities are scaled so that the largest is 100.

Peak list (6 most intense, 15 to 90 degrees two-theta, low angle first)
d = 4.234 Å, I = 100.0
d = 4.191 Å, I = 96.9
d = 3.001 Å, I = 46.5
d = 2.990 Å, I = 48.3
d = 2.672 Å, I = 55.6
d = 2.110 Å, I = 77.7

Cell and atoms:
```
GaGe5Ir3
1.0
5.4869 -4.1910 0.0000
5.4869 4.1910 0.0000
-4.3609 0.0000 8.0227
Ga Ge Ir
2 10 6
Direct
0.1054 0.1054 0.3113
0.8946 0.8946 0.6887
0.0508 0.6309 0.3324
0.2348 0.2348 0.0319
0.2914 0.7086 0.0000
0.3691 0.9492 0.6676
0.4219 0.4219 0.6419
0.5781 0.5781 0.3581
0.6309 0.0508 0.3324
0.7086 0.2914 0.0000
0.7652 0.7652 0.9681
0.9492 0.3691 0.6676
0.0000 0.0000 0.0000
0.0000 0.0000 0.5000
0.3281 0.3281 0.8343
0.3494 0.3494 0.3410
0.6506 0.6506 0.6590
0.6719 0.6719 0.1657
```

---

Structure and theoretical powder diffraction line list of Ga5GeIr3 (DFT lattice parameters and positions (PBE); a wavelength of 1.5418 Å).
Intensities are scaled so that the largest is 100.

Peak list (6 most intense, 15 to 90 degrees two-theta, low angle first)
d = 4.500 Å, I = 100.0
d = 4.455 Å, I = 95.6
d = 2.689 Å, I = 41.6
d = 2.250 Å, I = 46.1
d = 2.227 Å, I = 44.1
d = 2.062 Å, I = 61.1

Cell and atoms:
```
Ga5GeIr3
1.0
5.3924 -4.5000 0.0000
5.3924 4.5000 0.0000
-5.0427 0.0000 7.3927
Ga Ge Ir
10 2 6
Direct
0.2219 0.7728 0.6683
0.2244 0.7756 0.0000
0.2272 0.7781 0.3317
0.2718 0.2718 0.3378
0.2792 0.2792 0.0217
0.7208 0.7208 0.9783
0.7282 0.7282 0.6622
0.7728 0.2219 0.6683
0.7756 0.2244 0.0000
0.7781 0.2272 0.3317
0.2750 0.2750 0.6848
0.7250 0.7250 0.3152
0.0000 0.0000 0.5000
0.0038 0.0038 0.8371
0.4897 0.4897 0.6591
0.5000 0.5000 0.0000
0.5103 0.5103 0.3409
0.9962 0.9962 0.1629
```

---

Structure and theoretical powder diffraction line list of PmGaGeIr2 (DFT lattice parameters and positions (PBE); a wavelength of 1.5418 Å).
Intensities are scaled so that the largest is 100.

Peak list (6 most intense, 15 to 90 degrees two-theta, low angle first)
d = 2.907 Å, I = 37.8
d = 2.707 Å, I = 100.0
d = 2.318 Å, I = 56.8
d = 2.249 Å, I = 29.1
d = 2.191 Å, I = 51.5
d = 2.162 Å, I = 51.8

Cell and atoms:
```
PmGaGeIr2
1.0
2.1619 -6.3524 0.0000
2.1619 6.3524 0.0000
0.0000 0.0000 7.2158
Pm Ga Ge Ir
2 2 2 4
Direct
0.1012 0.8988 0.7500
0.8988 0.1012 0.2500
0.2045 0.7955 0.2500
0.7955 0.2045 0.7500
0.5000 0.5000 0.0000
0.5000 0.5000 0.5000
0.3185 0.6815 0.5514
0.3185 0.6815 0.9486
0.6815 0.3185 0.0514
0.6815 0.3185 0.4486
```

---

Structure and theoretical powder diffraction line list of Pm2Ga3GeIr4 (DFT lattice parameters and positions (PBE); a wavelength of 1.5418 Å).
Intensities are scaled so that the largest is 100.

Peak list (6 most intense, 15 to 90 degrees two-theta, low angle first)
d = 2.927 Å, I = 27.1
d = 2.647 Å, I = 64.1
d = 2.613 Å, I = 100.0
d = 2.164 Å, I = 77.5
d = 1.940 Å, I = 36.5
d = 1.675 Å, I = 33.4

Cell and atoms:
```
Pm2Ga3GeIr4
1.0
4.3273 0.0000 0.0000
0.0000 4.3273 0.0000
0.0000 0.0000 10.0380
Pm Ga Ge Ir
2 3 1 4
Direct
0.0000 0.5000 0.2391
0.5000 0.0000 0.7609
0.0000 0.5000 0.8729
0.5000 0.0000 0.1271
0.5000 0.5000 0.5000
0.0000 0.0000 0.5000
0.0000 0.0000 0.0000
0.0000 0.5000 0.6259
0.5000 0.0000 0.3741
0.5000 0.5000 0.0000
```

---

Structure and theoretical powder diffraction line list of Sm2GaGe3Ir4 (DFT lattice parameters and positions (PBE); a wavelength of 1.5418 Å).
Intensities are scaled so that the largest is 100.

Peak list (6 most intense, 15 to 90 degrees two-theta, low angle first)
d = 2.663 Å, I = 55.3
d = 2.588 Å, I = 100.0
d = 2.119 Å, I = 68.2
d = 1.950 Å, I = 32.5
d = 1.848 Å, I = 27.0
d = 1.658 Å, I = 26.8

Cell and atoms:
```
Sm2GaGe3Ir4
1.0
4.2384 0.0000 0.0000
0.0000 4.2384 0.0000
0.0000 0.0000 10.2698
Sm Ga Ge Ir
2 1 3 4
Direct
0.0000 0.5000 0.2482
0.5000 0.0000 0.7518
0.5000 0.5000 0.0000
0.0000 0.0000 0.0000
0.0000 0.5000 0.6311
0.5000 0.0000 0.3689
0.0000 0.0000 0.5000
0.0000 0.5000 0.8680
0.5000 0.0000 0.1320
0.5000 0.5000 0.5000
```

---

Structure and theoretical powder diffraction line list of Sr3Ga4Ge2Ir2 (DFT lattice parameters and positions (PBE); a wavelength of 1.5418 Å).
Intensities are scaled so that the largest is 100.

Peak list (6 most intense, 15 to 90 degrees two-theta, low angle first)
d = 3.394 Å, I = 38.5
d = 3.095 Å, I = 96.1
d = 2.784 Å, I = 59.0
d = 2.408 Å, I = 38.4
d = 2.141 Å, I = 100.0
d = 1.600 Å, I = 64.7

Cell and atoms:
```
Sr3Ga4Ge2Ir2
1.0
4.2818 0.0000 0.0000
-2.1409 3.7082 0.0000
0.0000 0.0000 16.8554
Sr Ga Ge Ir
3 4 2 2
Direct
0.0000 0.0000 0.0000
0.0000 0.0000 0.2955
0.0000 0.0000 0.7045
0.3333 0.6667 0.4327
0.3333 0.6667 0.8712
0.6667 0.3333 0.1288
0.6667 0.3333 0.5673
0.3333 0.6667 0.1515
0.6667 0.3333 0.8485
0.3333 0.6667 0.5830
0.6667 0.3333 0.4170
```

---

Structure and theoretical powder diffraction line list of Y2GaGe2Ir5 (DFT lattice parameters and positions (PBE); a wavelength of 1.5418 Å).
Intensities are scaled so that the largest is 100.

Peak list (6 most intense, 15 to 90 degrees two-theta, low angle first)
d = 3.622 Å, I = 26.9
d = 2.355 Å, I = 50.9
d = 2.342 Å, I = 100.0
d = 2.161 Å, I = 46.7
d = 1.811 Å, I = 25.2
d = 1.436 Å, I = 21.6

Cell and atoms:
```
Y2GaGe2Ir5
1.0
9.7115 0.0000 0.0000
0.0000 9.7115 0.0000
0.0000 0.0000 3.6215
Y Ga Ge Ir
4 2 4 10
Direct
0.1740 0.3260 0.0000
0.3260 0.8260 0.0000
0.6740 0.1740 0.0000
0.8260 0.6740 0.0000
0.0000 0.0000 0.0000
0.5000 0.5000 0.0000
0.1258 0.6258 0.0000
0.3742 0.1258 0.0000
0.6258 0.8742 0.0000
0.8742 0.3742 0.0000
0.0000 0.5000 0.5000
0.0644 0.7953 0.5000
0.2047 0.0644 0.5000
0.2953 0.5644 0.5000
0.4356 0.2953 0.5000
0.5000 0.0000 0.5000
0.5644 0.7047 0.5000
0.7047 0.4356 0.5000
0.7953 0.9356 0.5000
0.9356 0.2047 0.5000
```

---

Structure and theoretical powder diffraction line list of Y2Ga3GeIr4 (DFT lattice parameters and positions (PBE); a wavelength of 1.5418 Å).
Intensities are scaled so that the largest is 100.

Peak list (6 most intense, 15 to 90 degrees two-theta, low angle first)
d = 2.901 Å, I = 35.7
d = 2.635 Å, I = 55.5
d = 2.593 Å, I = 100.0
d = 2.143 Å, I = 84.2
d = 1.931 Å, I = 63.4
d = 1.515 Å, I = 27.9

Cell and atoms:
```
Y2Ga3GeIr4
1.0
4.2864 0.0000 0.0000
0.0000 4.2864 0.0000
0.0000 0.0000 10.0211
Y Ga Ge Ir
2 3 1 4
Direct
0.0000 0.5000 0.2351
0.5000 0.0000 0.7649
0.0000 0.5000 0.8717
0.5000 0.0000 0.1283
0.5000 0.5000 0.5000
0.0000 0.0000 0.5000
0.0000 0.0000 0.0000
0.0000 0.5000 0.6274
0.5000 0.0000 0.3726
0.5000 0.5000 0.0000
```

---

Structure and theoretical powder diffraction line list of KGa3Ge2 (DFT lattice parameters and positions (PBE); a wavelength of 1.5418 Å).
Intensities are scaled so that the largest is 100.

Peak list (6 most intense, 15 to 90 degrees two-theta, low angle first)
d = 3.911 Å, I = 58.7
d = 3.108 Å, I = 74.5
d = 2.765 Å, I = 72.5
d = 2.607 Å, I = 100.0
d = 2.395 Å, I = 98.5
d = 1.597 Å, I = 49.9

Cell and atoms:
```
KGa3Ge2
1.0
0.0000 6.7738 6.7738
6.7738 0.0000 6.7738
6.7738 6.7738 0.0000
K Ga Ge
4 12 8
Direct
0.0000 0.0000 0.0000
0.0000 0.0000 0.5000
0.0000 0.5000 0.0000
0.5000 0.0000 0.0000
0.1994 0.1994 0.5506
0.1994 0.5506 0.1994
0.1994 0.5506 0.5506
0.4494 0.4494 0.8006
0.4494 0.8006 0.4494
0.4494 0.8006 0.8006
0.5506 0.1994 0.1994
0.5506 0.1994 0.5506
0.5506 0.5506 0.1994
0.8006 0.4494 0.4494
0.8006 0.4494 0.8006
0.8006 0.8006 0.4494
0.2433 0.7522 0.7522
0.2478 0.2478 0.2478
0.2478 0.2478 0.7567
0.2478 0.7567 0.2478
0.7522 0.2433 0.7522
0.7522 0.7522 0.2433
0.7522 0.7522 0.7522
0.7567 0.2478 0.2478
```

---

Structure and theoretical powder diffraction line list of KGa6Ge2 (DFT lattice parameters and positions (PBE); a wavelength of 1.5418 Å).
Intensities are scaled so that the largest is 100.

Peak list (6 most intense, 15 to 90 degrees two-theta, low angle first)
d = 2.803 Å, I = 23.1
d = 2.618 Å, I = 60.7
d = 2.327 Å, I = 100.0
d = 2.087 Å, I = 53.5
d = 1.402 Å, I = 17.8
d = 1.246 Å, I = 26.0

Cell and atoms:
```
KGa6Ge2
1.0
4.1739 0.0000 0.0000
0.0000 4.1739 0.0000
0.0000 0.0000 11.3495
K Ga Ge
1 6 2
Direct
0.0000 0.0000 0.0000
0.0000 0.0000 0.5000
0.0000 0.5000 0.3077
0.0000 0.5000 0.6923
0.5000 0.0000 0.3077
0.5000 0.0000 0.6923
0.5000 0.5000 0.5000
0.5000 0.5000 0.1616
0.5000 0.5000 0.8384
```

---

Structure and theoretical powder diffraction line list of K2GaGe3 (DFT lattice parameters and positions (PBE); a wavelength of 1.5418 Å).
Intensities are scaled so that the largest is 100.

Peak list (6 most intense, 15 to 90 degrees two-theta, low angle first)
d = 5.462 Å, I = 89.6
d = 3.090 Å, I = 100.0
d = 3.021 Å, I = 54.2
d = 2.731 Å, I = 50.5
d = 2.116 Å, I = 47.2
d = 1.673 Å, I = 43.7

Cell and atoms:
```
K2GaGe3
1.0
4.3775 0.0000 0.0000
0.0000 5.4622 0.0000
0.0000 0.0000 7.2528
K Ga Ge
2 1 3
Direct
0.0000 0.0000 0.0000
0.5000 0.0000 0.4922
0.0000 0.5000 0.6664
0.0000 0.5000 0.3263
0.5000 0.5000 0.1649
0.5000 0.5000 0.8245
```